[1]
RbNaO3: computed PXRD pattern (Cu Kα X-rays), based on a structure optimized by DFT (PBE).

Structure:
```
data_RbNaO3
_symmetry_space_group_name_H-M 'P m -3 m'
_symmetry_Int_Tables_number 221
_symmetry_space_group_name_Hall '-P 4 2 3'
_cell_length_a 4.5277
_cell_length_b 4.5277
_cell_length_c 4.5277
_cell_angle_alpha 90.00
_cell_angle_beta 90.00
_cell_angle_gamma 90.00
loop_
_atom_site_label
_atom_site_fract_x
_atom_site_fract_y
_atom_site_fract_z
Rb1 0.0000 0.0000 0.0000
Na1 0.5000 0.5000 0.5000
O1 0.0000 0.5000 0.5000
```

Principal peaks in the range 2θ = 10–90°, in order of rising 2θ:
index  2θ (°)  d (Å)  Rel. int.
1 0 0  19.61  4.528  25
1 1 0  27.87  3.202  100
1 1 1  34.30  2.614  55
2 0 0  39.82  2.264  54
2 1 0  44.76  2.025  13
2 1 1  49.30  1.848  42
2 2 0  57.58  1.601  32
3 1 0  65.15  1.432  18
3 1 1  68.76  1.365  17
3 2 1  79.15  1.210  21



[2]
KF3: computed PXRD pattern (Cu Kα X-rays), based on a structure optimized by DFT (PBE).

Structure:
```
data_KF3
_symmetry_space_group_name_H-M 'P 21 21 21'
_symmetry_Int_Tables_number 19
_symmetry_space_group_name_Hall 'P 2ac 2ab'
_cell_length_a 7.3712
_cell_length_b 7.5965
_cell_length_c 9.8979
_cell_angle_alpha 90.00
_cell_angle_beta 90.00
_cell_angle_gamma 90.00
loop_
_atom_site_label
_atom_site_fract_x
_atom_site_fract_y
_atom_site_fract_z
K1 0.0321 0.1742 0.1294
K2 0.0716 0.2269 0.6475
F1 0.0069 0.3787 0.9054
F2 0.0392 0.7967 0.1105
F3 0.2107 0.1932 0.3757
F4 0.2316 0.0618 0.8716
F5 0.2338 0.4668 0.9903
F6 0.2346 0.4633 0.1894
```

Principal peaks in the range 2θ = 10–90°, in order of rising 2θ:
index  2θ (°)  d (Å)  Rel. int.
1 1 2  24.63  3.614  46
2 1 0  26.89  3.316  39
2 1 2  32.50  2.755  100
2 2 0  33.89  2.645  72
0 0 4  36.31  2.474  52
0 3 1  36.63  2.453  38
0 3 2  40.00  2.254  32
1 1 4  40.23  2.241  39
3 0 2  41.01  2.201  39
0 2 4  43.66  2.073  29